The following is a calculated powder X-ray diffraction pattern of Be2AsH5O7. It was derived from the PBE geometry in the Materials Project, using Cu Kα, 1.54184 Å.
Neutral-atom scattering factors, no anomalous dispersion.

Main lines, low angle first (10 to 90 degrees two-theta):
d = 5.818 Å, intensity 100
d = 5.515 Å, intensity 33
d = 4.611 Å, intensity 72
d = 4.188 Å, intensity 65
d = 4.157 Å, intensity 54
d = 4.103 Å, intensity 27
d = 3.225 Å, intensity 53
d = 2.860 Å, intensity 37
d = 2.790 Å, intensity 23
d = 2.655 Å, intensity 24

```
data_Be2AsH5O7
_chemical_formula_sum 'Be8 As4 H20 O28'
_space_group_name_H-M_alt 'P 1 21/c 1'
_space_group_IT_number 14
_space_group_name_Hall '-P 2ybc'
_cell_length_a 6.5798
_cell_length_b 11.1504
_cell_length_c 9.2789
_cell_angle_alpha 90.00
_cell_angle_beta 117.84
_cell_angle_gamma 90.00
loop_
_atom_site_label
_atom_site_type_symbol
_atom_site_fract_x
_atom_site_fract_y
_atom_site_fract_z
Be1 Be 0.0757 0.1952 0.0500
Be2 Be 0.3160 0.0762 0.6226
As1 As 0.0789 0.6170 0.2065
H1 H 0.2010 0.0186 0.9823
H2 H 0.2215 0.1884 0.7736
H3 H 0.3056 0.6555 0.7577
H4 H 0.3205 0.5373 0.8637
H5 H 0.4194 0.0847 0.1244
O1 O 0.0872 0.6177 0.3941
O2 O 0.0882 0.7402 0.6397
O3 O 0.1717 0.0476 0.4278
O4 O 0.2168 0.1954 0.6675
O5 O 0.2611 0.0992 0.0318
O6 O 0.3188 0.5395 0.2331
O7 O 0.4135 0.5938 0.8341
```

***

The following is a calculated powder X-ray diffraction pattern of Li2BeAs2. It was derived from the PBE geometry in the Materials Project, using Cu Kα, 1.54184 Å.
Neutral-atom scattering factors, no anomalous dispersion.

Main lines, low angle first (10 to 90 degrees two-theta):
d = 5.834 Å, intensity 60
d = 3.889 Å, intensity 62
d = 3.036 Å, intensity 100
d = 2.938 Å, intensity 29
d = 2.693 Å, intensity 36
d = 2.393 Å, intensity 69
d = 2.146 Å, intensity 37
d = 1.879 Å, intensity 33
d = 1.850 Å, intensity 27
d = 1.637 Å, intensity 23

```
data_Li2BeAs2
_chemical_formula_sum 'Li2 Be1 As2'
_space_group_name_H-M_alt 'P 4/m m m'
_space_group_IT_number 123
_space_group_name_Hall '-P 4 2'
_cell_length_a 3.0356
_cell_length_b 3.0356
_cell_length_c 11.6678
_cell_angle_alpha 90.00
_cell_angle_beta 90.00
_cell_angle_gamma 90.00
loop_
_atom_site_label
_atom_site_type_symbol
_atom_site_fract_x
_atom_site_fract_y
_atom_site_fract_z
Li1 Li 0.0000 0.0000 0.1172
Be1 Be 0.0000 0.0000 0.5000
As1 As 0.0000 0.0000 0.3234
```

***

The following is a calculated powder X-ray diffraction pattern of LiBeAs. It was derived from the PBE geometry in the Materials Project, using Cu Kα, 1.54184 Å.
Neutral-atom scattering factors, no anomalous dispersion.

Main lines, low angle first (10 to 90 degrees two-theta):
d = 3.209 Å, intensity 100
d = 3.106 Å, intensity 21
d = 2.650 Å, intensity 33
d = 2.016 Å, intensity 33
d = 1.874 Å, intensity 16
d = 1.813 Å, intensity 18
d = 1.618 Å, intensity 26
d = 1.605 Å, intensity 12
d = 1.303 Å, intensity 12
d = 1.107 Å, intensity 10

```
data_LiBeAs
_chemical_formula_sum 'Li2 Be2 As2'
_space_group_name_H-M_alt 'P 4/n m m'
_space_group_IT_number 129
_cell_length_a 3.7483
_cell_length_b 3.7483
_cell_length_c 6.2129
_cell_angle_alpha 90.00
_cell_angle_beta 90.00
_cell_angle_gamma 90.00
loop_
_space_group_symop_operation_xyz
'x,y,z'
'-x,-y,-z'
'-y+1/2,x,z'
'y+1/2,-x,-z'
'-x+1/2,-y+1/2,z'
'x+1/2,y+1/2,-z'
'y,-x+1/2,z'
'-y,x+1/2,-z'
'x+1/2,-y,-z'
'-x+1/2,y,z'
'-y,-x,-z'
'y,x,z'
'-x,y+1/2,-z'
'x,-y+1/2,z'
'y+1/2,x+1/2,-z'
'-y+1/2,-x+1/2,z'
loop_
_atom_site_label
_atom_site_type_symbol
_atom_site_fract_x
_atom_site_fract_y
_atom_site_fract_z
Li1 Li 0.2500 0.2500 0.1542
Be1 Be 0.2500 0.7500 0.5000
As1 As 0.2500 0.2500 0.7243
```

***

The following is a calculated powder X-ray diffraction pattern of LiBeAsO5. It was derived from the PBE geometry in the Materials Project, using Cu Kα, 1.54184 Å.
Neutral-atom scattering factors, no anomalous dispersion.

Main lines, low angle first (10 to 90 degrees two-theta):
d = 6.287 Å, intensity 100
d = 4.177 Å, intensity 51
d = 3.882 Å, intensity 45
d = 3.675 Å, intensity 38
d = 3.597 Å, intensity 50
d = 3.198 Å, intensity 73
d = 2.948 Å, intensity 63
d = 2.467 Å, intensity 20
d = 2.310 Å, intensity 21
d = 1.735 Å, intensity 19

```
data_LiBeAsO5
_chemical_formula_sum 'Li4 Be4 As4 O20'
_space_group_name_H-M_alt 'P n a 21'
_space_group_IT_number 33
_space_group_name_Hall 'P 2c -2n'
_cell_length_a 10.5057
_cell_length_b 7.8469
_cell_length_c 4.9347
_cell_angle_alpha 90.00
_cell_angle_beta 90.00
_cell_angle_gamma 90.00
loop_
_atom_site_label
_atom_site_type_symbol
_atom_site_fract_x
_atom_site_fract_y
_atom_site_fract_z
Li1 Li 0.1865 0.1983 0.0000
Be1 Be 0.1430 0.3864 0.5102
As1 As 0.1470 0.6047 0.0109
O1 O 0.0004 0.3069 0.5721
O2 O 0.0021 0.1284 0.9321
O3 O 0.1638 0.4164 0.1865
O4 O 0.1705 0.5679 0.6711
O5 O 0.2387 0.2400 0.6261
```

***

The following is a calculated powder X-ray diffraction pattern of Be2AsO9. It was derived from the PBE geometry in the Materials Project, using Cu Kα, 1.54184 Å.
Neutral-atom scattering factors, no anomalous dispersion.

Main lines, low angle first (10 to 90 degrees two-theta):
d = 6.564 Å, intensity 60
d = 6.255 Å, intensity 100
d = 4.995 Å, intensity 26
d = 3.557 Å, intensity 22
d = 3.400 Å, intensity 44
d = 3.346 Å, intensity 19
d = 3.292 Å, intensity 24
d = 3.150 Å, intensity 49
d = 3.012 Å, intensity 18
d = 2.003 Å, intensity 15

```
data_Be2AsO9
_chemical_formula_sum 'Be8 As4 O36'
_space_group_name_H-M_alt 'P 1 21/c 1'
_space_group_IT_number 14
_space_group_name_Hall '-P 2ybc'
_cell_length_a 7.1354
_cell_length_b 13.1272
_cell_length_c 7.6094
_cell_angle_alpha 90.00
_cell_angle_beta 94.43
_cell_angle_gamma 90.00
loop_
_atom_site_label
_atom_site_type_symbol
_atom_site_fract_x
_atom_site_fract_y
_atom_site_fract_z
Be1 Be 0.1069 0.1443 0.4092
Be2 Be 0.3886 0.1344 0.1060
As1 As 0.2867 0.1724 0.7523
O1 O 0.1195 0.2411 0.8539
O2 O 0.1389 0.6231 0.1270
O3 O 0.1779 0.0983 0.5910
O4 O 0.1782 0.7324 0.4804
O5 O 0.2112 0.0867 0.2356
O6 O 0.2519 0.6963 0.0717
O7 O 0.3926 0.0558 0.2788
O8 O 0.3943 0.0962 0.9131
O9 O 0.4428 0.2472 0.1600
```

***

The following is a calculated powder X-ray diffraction pattern of BeAsO5. It was derived from the PBE geometry in the Materials Project, using Cu Kα, 1.54184 Å.
Neutral-atom scattering factors, no anomalous dispersion.

Main lines, low angle first (10 to 90 degrees two-theta):
d = 4.826 Å, intensity 34
d = 4.611 Å, intensity 86
d = 4.442 Å, intensity 58
d = 4.092 Å, intensity 29
d = 3.853 Å, intensity 65
d = 3.268 Å, intensity 100
d = 3.199 Å, intensity 30
d = 2.593 Å, intensity 18
d = 2.489 Å, intensity 23
d = 2.239 Å, intensity 19

```
data_BeAsO5
_chemical_formula_sum 'Be4 As4 O20'
_space_group_name_H-M_alt 'P c a 21'
_space_group_IT_number 29
_space_group_name_Hall 'P 2c -2ac'
_cell_length_a 9.2213
_cell_length_b 4.8261
_cell_length_c 8.8833
_cell_angle_alpha 90.00
_cell_angle_beta 90.00
_cell_angle_gamma 90.00
loop_
_atom_site_label
_atom_site_type_symbol
_atom_site_fract_x
_atom_site_fract_y
_atom_site_fract_z
Be1 Be 0.0407 0.1208 0.0000
As1 As 0.0432 0.3933 0.6790
O1 O 0.0203 0.7390 0.3467
O2 O 0.0510 0.1496 0.5405
O3 O 0.0704 0.3329 0.1361
O4 O 0.1779 0.0057 0.9007
O5 O 0.2083 0.5623 0.6961
```

***

The following is a calculated powder X-ray diffraction pattern of BeTlAsO4. It was derived from the PBE geometry in the Materials Project, using Cu Kα, 1.54184 Å.
Neutral-atom scattering factors, no anomalous dispersion.

Main lines, low angle first (10 to 90 degrees two-theta):
d = 6.408 Å, intensity 19
d = 4.306 Å, intensity 18
d = 3.859 Å, intensity 20
d = 3.536 Å, intensity 38
d = 3.257 Å, intensity 45
d = 3.086 Å, intensity 28
d = 3.060 Å, intensity 100
d = 2.687 Å, intensity 18
d = 2.510 Å, intensity 24
d = 1.807 Å, intensity 22

```
data_BeTlAsO4
_chemical_formula_sum 'Be4 Tl4 As4 O16'
_space_group_name_H-M_alt 'P n a 21'
_space_group_IT_number 33
_space_group_name_Hall 'P 2c -2n'
_cell_length_a 9.9597
_cell_length_b 8.3716
_cell_length_c 5.0206
_cell_angle_alpha 90.00
_cell_angle_beta 90.00
_cell_angle_gamma 90.00
loop_
_atom_site_label
_atom_site_type_symbol
_atom_site_fract_x
_atom_site_fract_y
_atom_site_fract_z
Be1 Be 0.1432 0.1253 0.0000
Tl1 Tl 0.0467 0.3568 0.5101
As1 As 0.1672 0.9247 0.4996
O1 O 0.0167 0.8305 0.5503
O2 O 0.1793 0.0977 0.6847
O3 O 0.1941 0.9708 0.1701
O4 O 0.2076 0.2978 0.0985
```